Entry 1:
NdTh2P2Rh7: theoretical powder diffraction line list (Cu Kα (λ = 1.5418 Å)), based on a crystal structure in Alexandria, relaxed with GGA-PBE.
Lines closer than 0.1° are merged.

The 10 most intense peaks (2θ = 5–70°), in order of falling intensity:
37.4°, I 100
36.1°, I 67
44.9°, I 63
34.9°, I 49
31.4°, I 44
44.3°, I 28
36.6°, I 28
33.4°, I 25
45.1°, I 24
65.0°, I 23

Crystal structure
```
NdTh2P2Rh7
1.0
2.870 -2.847 0.000
2.870 2.847 0.000
-1.935 0.000 13.422
Nd Th P Rh
1 2 2 7
Direct
0.000 0.000 0.000
0.109 0.109 0.351
0.891 0.891 0.649
0.415 0.415 0.749
0.585 0.585 0.251
0.056 0.556 0.167
0.372 0.372 0.577
0.444 0.944 0.833
0.500 0.500 0.000
0.556 0.056 0.167
0.628 0.628 0.423
0.944 0.444 0.833
```

***

Entry 2:
CuBH4ClO4: theoretical powder diffraction line list (Cu Kα (λ = 1.5418 Å)), based on a crystal structure in Alexandria, relaxed with GGA-PBE.
Lines closer than 0.1° are merged.

The 10 most intense peaks (2θ = 5–70°), in order of falling intensity:
34.1°, I 100
15.3°, I 81
28.9°, I 68
20.4°, I 61
46.6°, I 42
45.3°, I 38
54.7°, I 32
21.0°, I 26
63.1°, I 26
68.0°, I 17

Crystal structure
```
CuBH4ClO4
1.0
6.169 0.000 0.000
0.000 6.169 0.000
0.000 0.000 5.809
Cu B H Cl O
2 2 8 2 8
Direct
0.250 0.250 0.126
0.750 0.750 0.874
0.250 0.750 0.000
0.750 0.250 0.000
0.059 0.903 0.239
0.097 0.559 0.761
0.403 0.941 0.761
0.441 0.597 0.239
0.559 0.403 0.761
0.597 0.059 0.239
0.903 0.441 0.239
0.941 0.097 0.761
0.250 0.250 0.649
0.750 0.750 0.351
0.065 0.691 0.851
0.191 0.935 0.149
0.309 0.565 0.149
0.435 0.809 0.851
0.565 0.191 0.149
0.691 0.435 0.851
0.809 0.065 0.851
0.935 0.309 0.149
```

***

Entry 3:
BaPrBi: theoretical powder diffraction line list (Cu Kα (λ = 1.5418 Å)), based on a crystal structure in Alexandria, relaxed with GGA-PBE.
Lines closer than 0.1° are merged.

The 10 most intense peaks (2θ = 5–70°), in order of falling intensity:
31.4°, I 100
35.6°, I 56
26.7°, I 51
29.5°, I 44
46.9°, I 39
25.0°, I 23
51.3°, I 20
60.2°, I 19
46.1°, I 18
18.2°, I 18

Crystal structure
```
BaPrBi
1.0
3.564 -3.564 0.000
3.564 3.564 0.000
-3.558 0.000 9.450
Ba Pr Bi
2 2 2
Direct
0.176 0.176 0.352
0.824 0.824 0.648
0.000 0.500 0.000
0.500 0.000 0.000
0.374 0.374 0.748
0.626 0.626 0.252
```

***

Entry 4:
V3C2: theoretical powder diffraction line list (Cu Kα (λ = 1.5418 Å)), based on a crystal structure in Alexandria, relaxed with GGA-PBE.
Lines closer than 0.1° are merged.

The 10 most intense peaks (2θ = 5–70°), in order of falling intensity:
39.1°, I 100
41.8°, I 89
38.2°, I 63
40.4°, I 54
41.3°, I 53
64.2°, I 37
35.6°, I 28
50.3°, I 21
63.3°, I 21
56.1°, I 20

Crystal structure
```
V3C2
1.0
5.008 0.000 0.000
0.000 2.940 0.000
-1.430 0.000 7.060
V C
6 4
Direct
0.026 0.250 0.333
0.261 0.250 0.000
0.449 0.250 0.656
0.551 0.750 0.344
0.739 0.750 0.000
0.974 0.750 0.667
0.237 0.750 0.481
0.361 0.750 0.842
0.639 0.250 0.158
0.763 0.250 0.519
```

***

Entry 5:
Pr4Sm4Dy3: theoretical powder diffraction line list (Cu Kα (λ = 1.5418 Å)), based on a crystal structure in Alexandria, relaxed with GGA-PBE.
Lines closer than 0.1° are merged.

The 10 most intense peaks (2θ = 5–70°), in order of falling intensity:
31.6°, I 100
31.0°, I 39
30.2°, I 35
55.5°, I 20
30.5°, I 18
61.2°, I 15
33.2°, I 15
61.7°, I 14
44.0°, I 13
46.0°, I 12

Crystal structure
```
Pr4Sm4Dy3
1.0
10.802 0.000 0.000
0.000 2.884 6.100
0.000 -2.884 6.100
Pr Sm Dy
4 4 3
Direct
0.000 0.000 0.000
0.205 0.796 0.796
0.500 0.928 0.928
0.795 0.796 0.796
0.000 0.589 0.589
0.302 0.145 0.145
0.500 0.655 0.655
0.698 0.145 0.145
0.000 0.295 0.295
0.291 0.451 0.451
0.709 0.451 0.451
```

***

Entry 6:
Tc2C3: theoretical powder diffraction line list (Cu Kα (λ = 1.5418 Å)), based on a crystal structure in Alexandria, relaxed with GGA-PBE.
Lines closer than 0.1° are merged.

The 10 most intense peaks (2θ = 5–70°), in order of falling intensity:
37.5°, I 100
39.3°, I 87
29.2°, I 75
36.3°, I 57
47.7°, I 55
58.3°, I 48
39.9°, I 47
22.1°, I 46
40.7°, I 26
62.5°, I 23

Crystal structure
```
Tc2C3
1.0
0.000 4.438 2.678
4.219 0.000 2.678
4.219 4.438 0.000
Tc C
4 6
Direct
0.211 0.789 0.343
0.593 0.907 0.461
0.789 0.211 0.657
0.907 0.593 0.039
0.003 0.380 0.791
0.031 0.031 0.969
0.281 0.281 0.219
0.380 0.003 0.826
0.424 0.459 0.870
0.459 0.424 0.247
```

***

Entry 7:
La10In3Pb3: theoretical powder diffraction line list (Cu Kα (λ = 1.5418 Å)), based on a crystal structure in Alexandria, relaxed with GGA-PBE.
Lines closer than 0.1° are merged.

The 10 most intense peaks (2θ = 5–70°), in order of falling intensity:
31.2°, I 100
31.6°, I 76
32.4°, I 39
48.5°, I 29
28.5°, I 26
25.3°, I 22
61.9°, I 20
41.3°, I 17
45.9°, I 16
62.6°, I 12

Crystal structure
```
La10In3Pb3
1.0
9.573 0.000 0.000
-4.787 8.291 0.000
0.000 0.000 7.035
La In Pb
10 3 3
Direct
0.000 0.243 0.000
0.000 0.762 0.500
0.238 0.238 0.500
0.243 0.000 0.000
0.333 0.667 0.250
0.333 0.667 0.750
0.667 0.333 0.250
0.667 0.333 0.750
0.757 0.757 0.000
0.762 0.000 0.500
0.000 0.400 0.500
0.400 0.000 0.500
0.600 0.600 0.500
0.000 0.606 0.000
0.394 0.394 0.000
0.606 0.000 0.000
```

***

Entry 8:
Dy3Pd13: theoretical powder diffraction line list (Cu Kα (λ = 1.5418 Å)), based on a crystal structure in Alexandria, relaxed with GGA-PBE.
Lines closer than 0.1° are merged.

The 10 most intense peaks (2θ = 5–70°), in order of falling intensity:
38.1°, I 100
42.8°, I 18
43.5°, I 16
46.4°, I 14
62.7°, I 10
65.0°, I 10
65.5°, I 9
26.3°, I 2
37.7°, I 2
34.3°, I 1

Crystal structure
```
Dy3Pd13
1.0
8.445 0.000 0.000
0.000 3.913 4.164
0.000 -3.913 4.164
Dy Pd
3 13
Direct
0.000 0.000 0.000
0.271 0.310 0.310
0.729 0.310 0.310
0.000 0.044 0.509
0.000 0.509 0.044
0.000 0.547 0.547
0.249 0.787 0.787
0.254 0.292 0.804
0.254 0.804 0.292
0.500 0.031 0.561
0.500 0.045 0.045
0.500 0.550 0.550
0.500 0.561 0.031
0.746 0.292 0.804
0.746 0.804 0.292
0.751 0.787 0.787
```

***

Entry 9:
AcSm12Ho6: theoretical powder diffraction line list (Cu Kα (λ = 1.5418 Å)), based on a crystal structure in Alexandria, relaxed with GGA-PBE.
Lines closer than 0.1° are merged.

The 10 most intense peaks (2θ = 5–70°), in order of falling intensity:
31.5°, I 100
31.1°, I 67
31.3°, I 64
29.3°, I 59
33.9°, I 43
34.1°, I 43
28.5°, I 36
34.3°, I 36
56.2°, I 32
54.6°, I 30

Crystal structure
```
AcSm12Ho6
1.0
6.723 3.882 4.214
-6.723 3.882 4.214
0.000 -7.763 4.214
Ac Sm Ho
1 12 6
Direct
0.000 0.000 0.000
0.080 0.355 0.355
0.241 0.500 0.759
0.241 0.759 0.500
0.355 0.080 0.355
0.355 0.355 0.080
0.500 0.241 0.759
0.500 0.759 0.241
0.645 0.645 0.920
0.645 0.920 0.645
0.759 0.241 0.500
0.759 0.500 0.241
0.920 0.645 0.645
0.104 0.104 0.656
0.104 0.656 0.104
0.344 0.896 0.896
0.656 0.104 0.104
0.896 0.344 0.896
0.896 0.896 0.344
```

***

Entry 10:
LaDyPu2Te5: theoretical powder diffraction line list (Cu Kα (λ = 1.5418 Å)), based on a crystal structure in Alexandria, relaxed with GGA-PBE.
Lines closer than 0.1° are merged.

The 10 most intense peaks (2θ = 5–70°), in order of falling intensity:
32.4°, I 100
22.7°, I 100
7.4°, I 99
32.2°, I 70
27.7°, I 58
46.4°, I 37
43.1°, I 36
34.3°, I 33
57.6°, I 27
47.8°, I 26

Crystal structure
```
LaDyPu2Te5
1.0
5.532 0.000 0.000
0.000 5.532 0.000
0.000 0.000 11.883
La Dy Pu Te
1 1 2 5
Direct
0.000 0.000 0.000
0.000 0.000 0.500
0.500 0.500 0.329
0.500 0.500 0.671
0.000 0.000 0.250
0.000 0.000 0.750
0.000 0.500 0.500
0.500 0.000 0.500
0.500 0.500 0.000
```

***

Entry 11:
Ta2InAu: theoretical powder diffraction line list (Cu Kα (λ = 1.5418 Å)), based on a crystal structure in Alexandria, relaxed with GGA-PBE.
Lines closer than 0.1° are merged.

The 10 most intense peaks (2θ = 5–70°), in order of falling intensity:
38.7°, I 100
35.6°, I 32
36.9°, I 27
66.0°, I 21
52.2°, I 20
67.7°, I 17
59.5°, I 7
19.8°, I 5
50.2°, I 2
40.1°, I 2

Crystal structure
```
Ta2InAu
1.0
-1.554 2.520 4.875
1.554 -2.520 4.875
1.554 2.520 -4.875
Ta In Au
2 1 1
Direct
0.000 0.000 0.000
0.763 0.263 0.500
0.490 0.490 0.000
0.240 0.740 0.500
```

***

Entry 12:
Ce3DyTh4Se8: theoretical powder diffraction line list (Cu Kα (λ = 1.5418 Å)), based on a crystal structure in Alexandria, relaxed with GGA-PBE.
Lines closer than 0.1° are merged.

The 10 most intense peaks (2θ = 5–70°), in order of falling intensity:
30.2°, I 100
42.7°, I 39
43.8°, I 36
26.3°, I 22
54.1°, I 20
62.8°, I 12
25.5°, I 8
51.3°, I 8
52.3°, I 7
12.7°, I 4

Crystal structure
```
Ce3DyTh4Se8
1.0
4.138 2.389 6.994
-4.138 2.389 6.994
0.000 -4.778 6.994
Ce Dy Th Se
3 1 4 8
Direct
0.000 0.500 0.500
0.500 0.000 0.500
0.500 0.500 0.000
0.000 0.000 0.000
0.000 0.000 0.500
0.000 0.500 0.000
0.500 0.000 0.000
0.500 0.500 0.500
0.245 0.245 0.753
0.245 0.753 0.245
0.247 0.755 0.755
0.251 0.251 0.251
0.749 0.749 0.749
0.753 0.245 0.245
0.755 0.247 0.755
0.755 0.755 0.247
```

***

Entry 13:
CaCd: theoretical powder diffraction line list (Cu Kα (λ = 1.5418 Å)), based on a crystal structure in Alexandria, relaxed with GGA-PBE.
Lines closer than 0.1° are merged.

The 10 most intense peaks (2θ = 5–70°), in order of falling intensity:
31.8°, I 100
20.7°, I 30
38.4°, I 29
51.9°, I 23
65.4°, I 22
33.6°, I 22
58.9°, I 16
31.6°, I 11
66.4°, I 11
55.5°, I 9

Crystal structure
```
CaCd
1.0
-2.342 2.342 5.340
2.342 -2.342 5.340
2.342 2.342 -5.340
Ca Cd
2 2
Direct
0.375 0.625 0.750
0.625 0.375 0.250
0.125 0.875 0.250
0.875 0.125 0.750
```